# 1
Computed powder XRD pattern
Compound: MgTe2PbN
Radiation: Cu Kα, 1.54184 Å
Structure: the GGA-PBE geometry in Alexandria
Lines closer than 0.1° are merged.

Most intense lines, 10 to 80 degrees two-theta, in order of rising 2θ:
15.1°, d = 5.867 Å, intensity 36
27.2°, d = 3.279 Å, intensity 34
30.5°, d = 2.934 Å, intensity 67
31.3°, d = 2.862 Å, intensity 100
34.2°, d = 2.624 Å, intensity 11
41.3°, d = 2.186 Å, intensity 23
43.6°, d = 2.074 Å, intensity 25
45.9°, d = 1.977 Å, intensity 11
54.6°, d = 1.680 Å, intensity 41
56.1°, d = 1.639 Å, intensity 24
65.2°, d = 1.431 Å, intensity 15
72.0°, d = 1.312 Å, intensity 11

Atomic structure:
a b c (Å): 5.867 5.867 3.953
angles (deg): 90.00 90.00 90.00
Space group P4/mmm (No. 123)
Symmetry-distinct sites (fractional):
Mg 0.000 0.000 0.000 x1
Te 0.000 0.500 0.000 x2
Pb 0.500 0.500 0.500 x1
N 0.000 0.000 0.500 x1

=====

# 2
Computed powder XRD pattern
Compound: Cr2Co5Ni4
Radiation: Cu Kα, 1.54184 Å
Structure: the GGA-PBE geometry in Alexandria
Lines closer than 0.1° are merged.

Most intense lines, 10 to 80 degrees two-theta, in order of rising 2θ:
44.5°, d = 2.038 Å, intensity 100
44.6°, d = 2.032 Å, intensity 100
51.5°, d = 1.774 Å, intensity 31
51.7°, d = 1.768 Å, intensity 31
52.4°, d = 1.746 Å, intensity 30
75.8°, d = 1.255 Å, intensity 9
76.2°, d = 1.250 Å, intensity 9
76.6°, d = 1.244 Å, intensity 17
76.7°, d = 1.242 Å, intensity 17

Atomic structure:
a b c (Å): 12.788 3.491 5.601
angles (deg): 90.00 105.53 90.00
Space group C2/m (No. 12)
Symmetry-distinct sites (fractional):
Cr 0.096 0.000 0.449 x4
Co 0.000 0.000 0.000 x2
Co 0.134 0.500 0.179 x4
Co 0.226 0.500 0.629 x4
Ni 0.045 0.500 0.727 x4
Ni 0.183 0.000 0.908 x4

=====

# 3
Computed powder XRD pattern
Compound: Ho4Er5Tl2
Radiation: Cu Kα, 1.54184 Å
Structure: the GGA-PBE geometry in Alexandria
Lines closer than 0.1° are merged.

Most intense lines, 10 to 80 degrees two-theta, in order of rising 2θ:
27.1°, d = 3.296 Å, intensity 33
27.9°, d = 3.195 Å, intensity 32
29.6°, d = 3.013 Å, intensity 36
32.0°, d = 2.801 Å, intensity 62
32.7°, d = 2.739 Å, intensity 100
33.6°, d = 2.666 Å, intensity 39
33.9°, d = 2.645 Å, intensity 28
36.1°, d = 2.487 Å, intensity 71
41.9°, d = 2.154 Å, intensity 23
51.7°, d = 1.769 Å, intensity 24
52.4°, d = 1.747 Å, intensity 23
61.9°, d = 1.500 Å, intensity 23

Atomic structure:
a b c (Å): 22.424 3.537 9.161
angles (deg): 90.00 106.35 90.00
Space group C2/m (No. 12)
Symmetry-distinct sites (fractional):
Ho 0.017 0.000 0.318 x4
Ho 0.103 0.500 0.616 x4
Er 0.000 0.500 0.000 x2
Er 0.127 0.000 0.956 x4
Er 0.178 0.000 0.382 x4
Tl 0.236 0.500 0.826 x4

=====

# 4
Computed powder XRD pattern
Compound: ErGa2Sn2
Radiation: Cu Kα, 1.54184 Å
Structure: the GGA-PBE geometry in Alexandria
Lines closer than 0.1° are merged.

Most intense lines, 10 to 80 degrees two-theta, in order of rising 2θ:
30.6°, d = 2.924 Å, intensity 18
32.2°, d = 2.784 Å, intensity 12
34.7°, d = 2.588 Å, intensity 100
37.3°, d = 2.409 Å, intensity 24
40.5°, d = 2.227 Å, intensity 10
42.7°, d = 2.118 Å, intensity 16
50.1°, d = 1.821 Å, intensity 7
56.3°, d = 1.635 Å, intensity 7
58.0°, d = 1.590 Å, intensity 13
61.5°, d = 1.508 Å, intensity 13
65.6°, d = 1.423 Å, intensity 16
73.0°, d = 1.296 Å, intensity 12

Atomic structure:
a b c (Å): 4.817 22.269 4.235
angles (deg): 90.00 90.00 90.00
Space group Cmcm (No. 63)
Symmetry-distinct sites (fractional):
Er 0.000 0.137 0.250 x4
Ga 0.000 0.036 0.750 x4
Ga 0.000 0.461 0.750 x4
Sn 0.000 0.250 0.750 x4
Sn 0.000 0.367 0.250 x4

=====

Question: Which formula does entry 3 have?
Answer: Ho4Er5Tl2

=====

Question: Number 3 is which compound?
Answer: Ho4Er5Tl2